Diffraction record for Pr3Sn2Rh. The powder diffraction line list is simulated, not measured: it uses a structure optimized by DFT (PBE) and λ = 1.5418 Å (Cu Kα).
Lines closer than 0.1° are merged.

Structural model:
```
Pr3Sn2Rh
1.0
12.7962 0.0000 0.0000
0.0000 4.5183 0.0000
0.0000 0.0000 12.0776
Pr Sn Rh
12 8 4
direct
0.0517 0.2500 0.1285 Pr
0.1198 0.7500 0.5478 Pr
0.2363 0.2500 0.7931 Pr
0.2637 0.7500 0.2931 Pr
0.3802 0.2500 0.0478 Pr
0.4483 0.7500 0.6285 Pr
0.5517 0.2500 0.3715 Pr
0.6198 0.7500 0.9522 Pr
0.7363 0.2500 0.7069 Pr
0.7637 0.7500 0.2069 Pr
0.8802 0.2500 0.4522 Pr
0.9483 0.7500 0.8715 Pr
0.0049 0.7500 0.3089 Sn
0.1910 0.7500 0.9991 Sn
0.3090 0.2500 0.4991 Sn
0.4951 0.2500 0.8089 Sn
0.5049 0.7500 0.1911 Sn
0.6910 0.7500 0.5009 Sn
0.8090 0.2500 0.0009 Sn
0.9951 0.2500 0.6911 Sn
0.1281 0.2500 0.3671 Rh
0.3719 0.7500 0.8671 Rh
0.6281 0.2500 0.1329 Rh
0.8719 0.7500 0.6329 Rh
```

Peak list (10 most intense, 5 to 70 degrees two-theta, low angle first)
two_theta  d_spacing  I/Imax
25.6  3.483  26.9
28.3  3.149  51.7
29.7  3.005  100.0
31.7  2.827  33.5
32.5  2.759  66.3
35.2  2.552  62.5
38.5  2.337  42.5
39.9  2.259  78.4
46.6  1.949  22.8
57.7  1.599  30.4

Diffraction record for Pr3SnRh. The powder diffraction line list is simulated, not measured: it uses a structure optimized by DFT (PBE) and λ = 1.5418 Å (Cu Kα).
Lines closer than 0.1° are merged.

Structural model:
```
Pr3SnRh
1.0
9.4582 -4.5882 0.0000
9.4582 4.5882 0.0000
-1.8110 0.0000 6.7738
Pr Sn Rh
12 4 4
direct
0.1259 0.2052 0.4514 Pr
0.2052 0.1259 0.9514 Pr
0.2084 0.7247 0.9713 Pr
0.2679 0.4589 0.3264 Pr
0.2753 0.7916 0.5287 Pr
0.4589 0.2679 0.8264 Pr
0.5411 0.7321 0.1736 Pr
0.7247 0.2084 0.4713 Pr
0.7321 0.5411 0.6736 Pr
0.7916 0.2753 0.0287 Pr
0.7948 0.8741 0.0486 Pr
0.8741 0.7948 0.5486 Pr
0.0790 0.4917 0.8252 Sn
0.4917 0.0790 0.3252 Sn
0.5083 0.9210 0.6748 Sn
0.9210 0.5083 0.1748 Sn
0.0052 0.9948 0.2500 Rh
0.4983 0.5017 0.7500 Rh
0.5017 0.4983 0.2500 Rh
0.9948 0.0052 0.7500 Rh
```

Peak list (10 most intense, 5 to 70 degrees two-theta, low angle first)
two_theta  d_spacing  I/Imax
27.6  3.237  14.9
28.3  3.151  47.7
29.3  3.046  23.6
29.7  3.010  36.1
32.2  2.776  100.0
32.8  2.733  16.9
33.0  2.713  30.4
34.9  2.572  29.3
35.4  2.538  15.0
36.3  2.474  15.9

Diffraction record for Pr2Sn2Rh. The powder diffraction line list is simulated, not measured: it uses a structure optimized by DFT (PBE) and λ = 1.5418 Å (Cu Kα).
Lines closer than 0.1° are merged.

Structural model:
```
Pr2Sn2Rh
1.0
-3.4082 6.6478 3.2094
3.4082 -6.6478 3.2094
3.4082 6.6478 -3.2094
Pr Sn Rh
4 4 2
direct
0.1297 0.2096 0.3394 Pr
0.3703 0.7096 0.0799 Pr
0.6297 0.2904 0.9201 Pr
0.8703 0.7904 0.6606 Pr
0.1201 0.7229 0.8430 Sn
0.3799 0.2229 0.6028 Sn
0.6201 0.7771 0.3972 Sn
0.8799 0.2771 0.1570 Sn
0.2500 0.7500 0.5000 Rh
0.7500 0.2500 0.5000 Rh
```

Peak list (10 most intense, 5 to 70 degrees two-theta, low angle first)
two_theta  d_spacing  I/Imax
14.6  6.066  22.4
26.1  3.408  49.5
26.8  3.324  58.7
27.8  3.209  54.7
30.4  2.936  23.9
37.8  2.380  92.6
38.5  2.337  89.0
39.0  2.309  100.0
47.6  1.911  39.5
69.4  1.354  30.5

Diffraction record for Pr2YSn3Rh4. The powder diffraction line list is simulated, not measured: it uses a structure optimized by DFT (PBE) and λ = 1.5418 Å (Cu Kα).
Lines closer than 0.1° are merged.

Structural model:
```
Pr2YSn3Rh4
1.0
4.4261 0.0000 0.0000
0.0000 4.4261 0.0000
0.0000 0.0000 11.5032
Pr Y Sn Rh
2 1 3 4
direct
0.0000 0.5000 0.2324 Pr
0.5000 0.0000 0.7676 Pr
0.0000 0.0000 0.5000 Y
0.0000 0.5000 0.8747 Sn
0.5000 0.0000 0.1253 Sn
0.5000 0.5000 0.5000 Sn
0.0000 0.0000 0.0000 Rh
0.0000 0.5000 0.6475 Rh
0.5000 0.0000 0.3525 Rh
0.5000 0.5000 0.0000 Rh
```

Peak list (10 most intense, 5 to 70 degrees two-theta, low angle first)
two_theta  d_spacing  I/Imax
28.5  3.130  12.0
30.9  2.898  52.7
32.6  2.749  100.0
40.8  2.213  63.0
42.7  2.118  28.5
44.4  2.041  28.8
52.0  1.759  28.3
59.0  1.565  21.2
61.8  1.500  21.5
69.1  1.360  22.4